The following is a theoretical X-ray diffraction stick pattern of Cs3Li2GaMo4O16. It was derived from a structure optimized by DFT (GGA+U), using CuKα.

Cell and atoms:
```
data_Cs3Li2GaMo4O16
_chemical_formula_sum 'Cs12 Li8 Ga4 Mo16 O64'
_symmetry_space_group_name_H-M 'I -4 2 d'
_symmetry_Int_Tables_number 122
_symmetry_space_group_name_Hall 'I -4 2bw'
_cell_length_a 12.542
_cell_length_b 12.542
_cell_length_c 12.536
_cell_angle_alpha 90.00
_cell_angle_beta 90.00
_cell_angle_gamma 90.00
loop_
_atom_site_label
_atom_site_fract_x
_atom_site_fract_y
_atom_site_fract_z
Cs1 0.000 0.000 0.000
Cs2 0.144 0.750 0.625
Li1 0.125 0.250 0.125
Ga1 0.000 0.000 0.500
Mo1 0.093 0.654 0.968
O1 0.034 0.165 0.221
O2 0.075 0.174 0.801
O3 0.084 0.587 0.833
O4 0.155 0.719 0.293
```

Most intense lines, 2θ from 10° to 90°, by angle:
2theta	I_rel	h k l
22.4	38.1	3 0 1
26.6	100.0	3 1 2
31.9	18.3	2 0 4
33.5	17.4	3 3 2
39.4	10.4	5 1 2
44.5	17.0	1 1 6
54.8	9.3	6 2 4
69.5	9.2	5 5 6